[1]
Rb4SnTe5: computed X-ray powder pattern (Cu Kα (λ = 1.5418 Å)), based on a cell relaxed with PBE.
Peak positions follow from Bragg's law for the DFT cell and can differ from measured ones.

Principal peaks in the range 10 to 90 degrees two-theta, by angle:
11.02°, intensity 34
14.10°, intensity 21
23.61°, intensity 68
24.80°, intensity 100
30.77°, intensity 32
34.50°, intensity 75
35.35°, intensity 29
42.95°, intensity 23
46.23°, intensity 19
55.04°, intensity 17

Structure:
a b c (Å): 11.3544 11.3544 7.5365
angles (deg): 90.00 90.00 90.00
Space group I4 (No. 79)
Asymmetric unit:
Rb1 0.0824 0.7024 0.0000
Sn1 0.0000 0.0000 0.6141
Te1 0.0000 0.0000 0.9791
Te2 0.0723 0.7692 0.4972

[2]
Cu2Ag2Pd7: computed X-ray powder pattern (Cu Kα (λ = 1.5418 Å)), based on a cell relaxed with PBE.
Peak positions follow from Bragg's law for the DFT cell and can differ from measured ones.

Principal peaks in the range 10 to 90 degrees two-theta, by angle:
30.23°, intensity 12
33.55°, intensity 12
39.58°, intensity 23
40.31°, intensity 100
40.84°, intensity 91
57.77°, intensity 15
71.95°, intensity 12
73.64°, intensity 15
79.81°, intensity 18
85.85°, intensity 15

Structure:
a b c (Å): 4.4747 11.1253 6.9789
angles (deg): 90.00 90.00 90.00
Space group Imm2 (No. 44)
Asymmetric unit:
Cu1 0.0000 0.0000 0.0000
Cu2 0.0000 0.5000 0.1783
Ag1 0.0000 0.2127 0.1782
Pd1 0.0000 0.0000 0.3826
Pd2 0.0000 0.1377 0.7006
Pd3 0.0000 0.3656 0.8794
Pd4 0.0000 0.3697 0.4830

[3]
UGaRh6: computed X-ray powder pattern (Cu Kα (λ = 1.5418 Å)), based on a cell relaxed with PBE.
Peak positions follow from Bragg's law for the DFT cell and can differ from measured ones.

Principal peaks in the range 10 to 90 degrees two-theta, by angle:
15.93°, intensity 11
27.70°, intensity 7
39.63°, intensity 100
45.95°, intensity 16
46.16°, intensity 32
67.18°, intensity 21
67.34°, intensity 10
80.75°, intensity 13
81.06°, intensity 25
85.38°, intensity 11

Structure:
a b c (Å): 5.5622 5.5622 3.9500
angles (deg): 90.00 90.00 90.00
Space group P4/mmm (No. 123)
Asymmetric unit:
U1 0.0000 0.0000 0.0000
Ga1 0.5000 0.5000 0.0000
Rh1 0.0000 0.5000 0.0000
Rh2 0.2520 0.2520 0.5000